Record 1
The following is a calculated X-ray powder pattern of KPH2SO3. It was derived from a cell relaxed with PBE, using λ = 1.5418 Å (Cu Kα).
Kinematic intensities with the Lorentz-polarization factor, no thermal factor.

Peak list (10 most intense, 15° ≤ 2θ ≤ 90°, sorted by position)
hkl, 2θ/deg, I (rel.)
1 1 0, 19.89, 26
1 1 -1, 22.36, 68
0 2 0, 27.99, 100
2 0 0, 28.56, 44
0 0 2, 31.32, 20
0 2 1, 32.16, 21
1 1 -2, 33.23, 20
2 0 -2, 35.29, 19
2 2 0, 40.42, 20
1 1 -3, 47.53, 19

Cell and atoms:
```
data_KPH2SO3
_space_group_name_H-M_alt 'C 1 m 1'
_space_group_IT_number 8
_cell_length_a 6.5839
_cell_length_b 6.3746
_cell_length_c 6.0170
_cell_angle_alpha 90.00
_cell_angle_beta 108.32
_cell_angle_gamma 90.00
loop_
_space_group_symop_operation_xyz
'x,y,z'
'x,-y,z'
'x+1/2,y+1/2,z'
'x+1/2,-y+1/2,z'
loop_
_atom_site_label
_atom_site_type_symbol
_atom_site_fract_x
_atom_site_fract_y
_atom_site_fract_z
_atom_site_occupancy
K1 K 0.0000 0.0000 0.0000 1
P1 P 0.4976 0.0000 0.4993 1
H1 H 0.1711 0.1886 0.5770 1
S1 S 0.0375 0.5000 0.1861 1
O1 O 0.1095 0.3056 0.6576 1
O2 O 0.2598 0.0000 0.4921 1
```

Record 2
The following is a calculated X-ray powder pattern of K4PH5Se3O16. It was derived from a cell relaxed with PBE, using λ = 1.5418 Å (Cu Kα).
Kinematic intensities with the Lorentz-polarization factor, no thermal factor.

Peak list (10 most intense, 15° ≤ 2θ ≤ 90°, sorted by position)
hkl, 2θ/deg, I (rel.)
1 1 1, 17.59, 46
0 1 2, 23.07, 54
0 0 2, 23.89, 83
0 2 0, 24.14, 100
2 0 1, 26.23, 55
2 1 1, 26.54, 70
2 0 -1, 26.62, 61
0 2 2, 28.13, 57
0 1 -2, 30.12, 30
2 3 2, 42.54, 30

Cell and atoms:
```
data_K4PH5Se3O16
_space_group_name_H-M_alt 'P 1'
_space_group_IT_number 1
_cell_length_a 7.5877
_cell_length_b 7.7995
_cell_length_c 7.8631
_cell_angle_alpha 71.35
_cell_angle_beta 87.68
_cell_angle_gamma 85.71
loop_
_space_group_symop_operation_xyz
'x,y,z'
loop_
_atom_site_label
_atom_site_type_symbol
_atom_site_fract_x
_atom_site_fract_y
_atom_site_fract_z
_atom_site_occupancy
K1 K 0.0000 0.0000 0.0000 1
K2 K 0.0645 0.4849 0.4387 1
K3 K 0.3700 0.5551 0.8841 1
K4 K 0.6918 0.9380 0.5507 1
P1 P 0.5731 0.4625 0.4126 1
H1 H 0.2856 0.1698 0.2494 1
H2 H 0.4103 0.6717 0.1875 1
H3 H 0.5225 0.2786 0.6917 1
H4 H 0.6721 0.7428 0.3025 1
H5 H 0.7779 0.3152 0.1911 1
Se1 Se 0.1594 0.9596 0.4977 1
Se2 Se 0.4997 0.0156 0.0231 1
Se3 Se 0.9034 0.5257 0.9415 1
O1 O 0.0215 0.6071 0.0682 1
O2 O 0.0260 0.4741 0.7843 1
O3 O 0.0373 0.0117 0.6546 1
O4 O 0.0417 0.8778 0.3712 1
O5 O 0.2230 0.1771 0.3655 1
O6 O 0.3434 0.8339 0.5680 1
O7 O 0.3703 0.1841 0.0602 1
O8 O 0.3724 0.8441 0.0346 1
O9 O 0.4190 0.5390 0.2748 1
O10 O 0.4783 0.4024 0.6024 1
O11 O 0.5935 0.0972 0.8197 1
O12 O 0.6604 0.9385 0.1746 1
O13 O 0.6852 0.3087 0.3798 1
O14 O 0.6880 0.6248 0.4090 1
O15 O 0.7199 0.6514 0.8697 1
O16 O 0.8399 0.3086 0.0748 1
```

Record 3
The following is a calculated X-ray powder pattern of K2PH4Se3O2. It was derived from a cell relaxed with PBE, using λ = 1.5418 Å (Cu Kα).
Kinematic intensities with the Lorentz-polarization factor, no thermal factor.

Peak list (10 most intense, 15° ≤ 2θ ≤ 90°, sorted by position)
hkl, 2θ/deg, I (rel.)
1 3 1, 23.22, 24
1 3 2, 26.62, 33
0 4 0, 27.69, 100
0 4 1, 28.70, 36
1 3 3, 31.51, 32
3 1 3, 32.45, 41
4 2 1, 33.75, 25
3 3 2, 34.08, 30
3 5 3, 47.78, 20
1 7 2, 52.57, 19

Cell and atoms:
```
data_K2PH4Se3O2
_space_group_name_H-M_alt 'C m c e'
_space_group_IT_number 64
_space_group_name_Hall '-C 2ac 2'
_cell_length_a 12.0242
_cell_length_b 12.8854
_cell_length_c 11.9457
_cell_angle_alpha 90.00
_cell_angle_beta 90.00
_cell_angle_gamma 90.00
loop_
_atom_site_label
_atom_site_type_symbol
_atom_site_fract_x
_atom_site_fract_y
_atom_site_fract_z
_atom_site_occupancy
K1 K 0.0000 0.0369 0.1459 1
K2 K 0.2500 0.1530 0.7500 1
P1 P 0.0000 0.0841 0.4676 1
H1 H 0.1105 0.1848 0.9708 1
H2 H 0.2032 0.1033 0.9970 1
Se1 Se 0.0000 0.1853 0.6168 1
Se2 Se 0.1533 0.1000 0.3668 1
O1 O 0.1347 0.1139 0.9516 1
```

Record 4
The following is a calculated X-ray powder pattern of K4PH5Se3O16. It was derived from a cell relaxed with PBE, using λ = 1.5418 Å (Cu Kα).
Kinematic intensities with the Lorentz-polarization factor, no thermal factor.

Peak list (10 most intense, 15° ≤ 2θ ≤ 90°, sorted by position)
hkl, 2θ/deg, I (rel.)
1 1 2, 17.64, 43
1 2 0, 23.12, 50
0 2 0, 23.98, 78
2 0 0, 24.22, 93
0 1 4, 26.28, 50
0 1 -4, 26.60, 100
2 2 0, 28.14, 71
1 -2 0, 30.28, 27
2 0 4, 32.91, 25
3 2 4, 42.69, 31

Cell and atoms:
```
data_K4PH5Se3O16
_space_group_name_H-M_alt 'P -1'
_space_group_IT_number 2
_cell_length_a 7.7846
_cell_length_b 7.8475
_cell_length_c 15.1819
_cell_angle_alpha 87.98
_cell_angle_beta 86.01
_cell_angle_gamma 71.07
loop_
_space_group_symop_operation_xyz
'x,y,z'
'-x,-y,-z'
loop_
_atom_site_label
_atom_site_type_symbol
_atom_site_fract_x
_atom_site_fract_y
_atom_site_fract_z
_atom_site_occupancy
K1 K 0.1888 0.3371 0.3298 1
K2 K 0.1939 0.3315 0.8318 1
K3 K 0.2586 0.7797 0.4824 1
K4 K 0.2603 0.7794 0.9857 1
P1 P 0.2759 0.8089 0.2314 1
H1 H 0.0075 0.0818 0.8172 1
H2 H 0.0657 0.0352 0.3130 1
H3 H 0.4260 0.0230 0.1301 1
H4 H 0.4291 0.0283 0.6284 1
H5 H 0.4697 0.5310 0.2522 1
Se1 Se 0.2179 0.2774 0.5639 1
Se2 Se 0.2185 0.2751 0.0650 1
Se3 Se 0.2759 0.8006 0.7338 1
O1 O 0.0912 0.3473 0.1564 1
O2 O 0.0918 0.3473 0.6561 1
O3 O 0.1056 0.8133 0.6687 1
O4 O 0.1134 0.8113 0.1741 1
O5 O 0.1347 0.1512 0.0048 1
O6 O 0.1355 0.1516 0.5045 1
O7 O 0.1988 0.9438 0.3096 1
O8 O 0.2001 0.9557 0.8132 1
O9 O 0.2706 0.4341 0.5032 1
O10 O 0.2721 0.4318 0.0044 1
O11 O 0.3437 0.6169 0.2764 1
O12 O 0.3516 0.5967 0.7827 1
O13 O 0.4286 0.8450 0.1750 1
O14 O 0.4354 0.1383 0.0975 1
O15 O 0.4369 0.1430 0.5962 1
O16 O 0.4456 0.8350 0.6698 1
```

Record 5
The following is a calculated X-ray powder pattern of KSmP3HO10. It was derived from a cell relaxed with PBE, using λ = 1.5418 Å (Cu Kα).
Kinematic intensities with the Lorentz-polarization factor, no thermal factor.

Peak list (10 most intense, 15° ≤ 2θ ≤ 90°, sorted by position)
hkl, 2θ/deg, I (rel.)
1 1 -1, 23.74, 31
2 0 1, 25.87, 20
2 0 0, 26.43, 51
0 1 -2, 27.74, 28
1 2 2, 27.88, 100
2 1 0, 28.45, 49
-1 1 2, 29.04, 41
2 0 2, 29.86, 37
1 1 -2, 33.00, 18
3 -2 0, 48.37, 19

Cell and atoms:
```
data_KSmP3HO10
_space_group_name_H-M_alt 'P -1'
_space_group_IT_number 2
_cell_length_a 7.0410
_cell_length_b 7.8193
_cell_length_c 8.6690
_cell_angle_alpha 73.73
_cell_angle_beta 73.58
_cell_angle_gamma 82.56
loop_
_space_group_symop_operation_xyz
'x,y,z'
'-x,-y,-z'
loop_
_atom_site_label
_atom_site_type_symbol
_atom_site_fract_x
_atom_site_fract_y
_atom_site_fract_z
_atom_site_occupancy
K1 K 0.2113 0.2150 0.0359 1
Sm1 Sm 0.2270 0.1306 0.5108 1
P1 P 0.1447 0.5392 0.6388 1
P2 P 0.3268 0.7306 0.8138 1
P3 P 0.3276 0.8078 0.3425 1
H1 H 0.3114 0.6995 0.0787 1
O1 O 0.0446 0.3466 0.3365 1
O2 O 0.1341 0.9277 0.3727 1
O3 O 0.1358 0.3400 0.6736 1
O4 O 0.1948 0.8932 0.7591 1
O5 O 0.2541 0.6458 0.0066 1
O6 O 0.2771 0.6034 0.4503 1
O7 O 0.2785 0.5646 0.7528 1
O8 O 0.4107 0.7979 0.1646 1
O9 O 0.4519 0.2488 0.2442 1
O10 O 0.4658 0.8702 0.4226 1
```

Record 6
The following is a calculated X-ray powder pattern of KZnP2H5O9. It was derived from a cell relaxed with PBE, using λ = 1.5418 Å (Cu Kα).
Kinematic intensities with the Lorentz-polarization factor, no thermal factor.

Peak list (10 most intense, 15° ≤ 2θ ≤ 90°, sorted by position)
hkl, 2θ/deg, I (rel.)
1 1 1, 15.79, 44
1 2 0, 25.27, 23
0 2 0, 26.12, 19
-1 1 2, 26.69, 100
1 2 2, 26.99, 31
2 0 1, 27.71, 24
2 1 -1, 28.75, 18
2 -1 0, 30.89, 25
0 2 -1, 33.37, 17
2 0 2, 35.54, 20

Cell and atoms:
```
data_KZnP2H5O9
_space_group_name_H-M_alt 'P -1'
_space_group_IT_number 2
_cell_length_a 7.7386
_cell_length_b 7.9125
_cell_length_c 8.0676
_cell_angle_alpha 64.69
_cell_angle_beta 84.88
_cell_angle_gamma 72.06
loop_
_space_group_symop_operation_xyz
'x,y,z'
'-x,-y,-z'
loop_
_atom_site_label
_atom_site_type_symbol
_atom_site_fract_x
_atom_site_fract_y
_atom_site_fract_z
_atom_site_occupancy
K1 K 0.1385 0.2756 0.2240 1
Zn1 Zn 0.2608 0.7318 0.0309 1
P1 P 0.0796 0.1792 0.7402 1
P2 P 0.3779 0.5485 0.7456 1
H1 H 0.1394 0.7808 0.4368 1
H2 H 0.2018 0.4211 0.5768 1
H3 H 0.4467 0.8309 0.2736 1
H4 H 0.4564 0.0235 0.7267 1
H5 H 0.4663 0.7973 0.5379 1
O1 O 0.0320 0.7017 0.1575 1
O2 O 0.0453 0.8973 0.3400 1
O3 O 0.1605 0.3129 0.5653 1
O4 O 0.2352 0.0031 0.8579 1
O5 O 0.2573 0.5821 0.5861 1
O6 O 0.2623 0.5638 0.9082 1
O7 O 0.4377 0.9293 0.3228 1
O8 O 0.4749 0.6542 0.1892 1
O9 O 0.4767 0.7147 0.6775 1
```